Entry 1:
Structure and simulated powder diffractogram of Cs4Pa3MoN8 (a DFT-relaxed cell (GGA-PBE, Alexandria); copper Kα).

Structural model:
Cell lengths 7.0581, 7.0581, 21.1499 Å; angles 90.00, 90.00, 120.00 degrees
Space group R-3m (No. 166, hexagonal axes)
One atom of each set of equivalent atoms:
Cs  0.0000  0.0000  0.0000 (multiplicity 3)
Cs  0.0000  0.5000  0.0000 (multiplicity 9)
Pa  0.0000  0.5000  0.5000 (multiplicity 9)
Mo  0.0000  0.0000  0.5000 (multiplicity 3)
N  0.0000  0.0000  0.2155 (multiplicity 6)
N  0.0162  0.5081  0.2148 (multiplicity 18)

Main lines, in order of rising 2θ (2θ from 10° to 90°):
2theta	d_spacing	intensity	hkl
12.6	7.050	19	0 0 3
25.3	3.525	62	0 0 6
30.4	2.936	100	2 0 2
33.9	2.646	99	0 2 4
45.4	1.999	39	2 0 8
51.8	1.764	39	2 2 0
52.6	1.739	28	0 2 10
58.5	1.578	37	2 2 6
63.4	1.468	16	4 0 4
76.4	1.247	16	2 2 12

Entry 2:
Structure and simulated powder diffractogram of SrGa2Au7 (a DFT-relaxed cell (GGA-PBE, Alexandria); copper Kα).

Structural model:
Cell lengths 7.554, 12.777, 4.794 Å; angles 90.00, 90.00, 90.00 degrees
Space group Cmmm (No. 65)
One atom of each set of equivalent atoms:
Sr  0.000  0.000  0.000 (multiplicity 2)
Ga  0.000  0.286  0.500 (multiplicity 4)
Au  0.000  0.375  0.000 (multiplicity 4)
Au  0.000  0.500  0.500 (multiplicity 2)
Au  0.188  0.119  0.500 (multiplicity 8)

Main lines, in order of rising 2θ (2θ from 10° to 90°):
2theta	d_spacing	intensity	hkl
18.5	4.794	60	0 0 1
27.9	3.194	34	0 4 0
30.1	2.967	44	2 0 1
30.5	2.934	75	1 3 1
36.4	2.471	49	3 1 0
37.5	2.397	65	0 0 2
41.1	2.196	25	3 1 1
41.5	2.174	100	2 4 1
41.8	2.161	66	1 5 1
53.2	1.720	34	3 1 2

Entry 3:
Structure and simulated powder diffractogram of CsNa2MgAl (a DFT-relaxed cell (GGA-PBE, Alexandria); copper Kα).

Structural model:
Cell lengths 6.111, 6.111, 5.401 Å; angles 90.00, 90.00, 90.00 degrees
Space group P4/mmm (No. 123)
One atom of each set of equivalent atoms:
Cs  0.000  0.000  0.000 (multiplicity 1)
Na  0.000  0.500  0.500 (multiplicity 2)
Mg  0.500  0.500  0.000 (multiplicity 1)
Al  0.500  0.500  0.500 (multiplicity 1)

Main lines, in order of rising 2θ (2θ from 10° to 90°):
2theta	d_spacing	intensity	hkl
14.5	6.111	35	1 0 0
20.6	4.321	53	1 1 0
22.0	4.047	86	1 0 1
26.4	3.374	100	1 1 1
29.2	3.055	66	2 0 0
33.2	2.701	23	0 0 2
36.9	2.438	44	2 1 1
41.8	2.160	24	2 2 0
44.8	2.023	39	2 0 2
50.1	1.819	33	3 1 1

Entry 4:
Structure and simulated powder diffractogram of Ga13Tc2 (a DFT-relaxed cell (GGA-PBE, Alexandria); copper Kα).

Structural model:
Cell lengths 5.210, 7.193, 7.229 Å; angles 103.60, 92.46, 90.61 degrees
Space group P-1 (No. 2)
One atom of each set of equivalent atoms:
Ga  0.000  0.000  0.000 (multiplicity 1)
Ga  0.009  0.827  0.366 (multiplicity 2)
Ga  0.226  0.519  0.110 (multiplicity 2)
Ga  0.229  0.537  0.700 (multiplicity 2)
Ga  0.235  0.244  0.305 (multiplicity 2)
Ga  0.490  0.819  0.025 (multiplicity 2)
Ga  0.498  0.187  0.611 (multiplicity 2)
Tc  0.262  0.899  0.716 (multiplicity 2)

Main lines, in order of rising 2θ (2θ from 10° to 90°):
2theta	d_spacing	intensity	hkl
12.7	6.990	55	0 1 0
31.0	2.886	60	1 -2 1
38.5	2.339	86	0 0 3
38.6	2.330	83	0 3 0
39.3	2.291	77	-2 1 1
42.9	2.110	70	1 3 0
43.5	2.082	68	-1 2 2
43.6	2.076	67	0 1 3
44.2	2.049	100	2 -1 2
45.0	2.015	94	1 -3 2